The following is a simulated powder X-ray diffraction pattern of SrZn2As2O8. It was derived from a structure optimized by DFT (GGA-PBE), using Cu Ka.

Most intense lines, 15° ≤ 2θ ≤ 90°, sorted by position:
2θ (°)  I (rel.)
20.3  76
21.7  57
22.5  47
26.1  91
28.6  63
28.9  67
33.1  41
33.7  100
36.9  40
46.9  41

Cell: 8.744 9.908 9.441 Å, 90.00 91.82 90.00°
Fractional coordinates of all 52 atoms:
Sr  0.250  0.083  0.115
Sr  0.250  0.417  0.615
Sr  0.750  0.583  0.385
Sr  0.750  0.917  0.885
Zn  0.078  0.686  0.050
Zn  0.078  0.814  0.550
Zn  0.426  0.074  0.721
Zn  0.426  0.426  0.221
Zn  0.574  0.574  0.779
Zn  0.574  0.926  0.279
Zn  0.922  0.186  0.450
Zn  0.922  0.314  0.950
As  0.058  0.083  0.750
As  0.058  0.417  0.250
As  0.451  0.704  0.063
As  0.451  0.796  0.563
As  0.549  0.204  0.437
As  0.549  0.296  0.937
As  0.942  0.583  0.750
As  0.942  0.917  0.250
O  0.020  0.065  0.312
O  0.020  0.435  0.812
O  0.065  0.625  0.617
O  0.065  0.875  0.117
O  0.069  0.202  0.617
O  0.069  0.298  0.117
O  0.237  0.069  0.833
O  0.237  0.431  0.333
O  0.283  0.633  0.001
O  0.283  0.867  0.501
O  0.416  0.207  0.568
O  0.416  0.293  0.068
O  0.430  0.632  0.620
O  0.430  0.868  0.120
O  0.474  0.103  0.302
O  0.474  0.397  0.802
O  0.526  0.603  0.198
O  0.526  0.897  0.698
O  0.570  0.132  0.880
O  0.570  0.368  0.380
O  0.584  0.707  0.932
O  0.584  0.793  0.432
O  0.717  0.133  0.499
O  0.717  0.367  0.999
O  0.763  0.569  0.667
O  0.763  0.931  0.167
O  0.931  0.702  0.883
O  0.931  0.798  0.383
O  0.935  0.125  0.883
O  0.935  0.375  0.383
O  0.980  0.565  0.188
O  0.980  0.935  0.688

The following is a simulated powder X-ray diffraction pattern of Ta9As2O25. It was derived from a structure optimized by DFT (GGA-PBE), using Cu Ka.

Most intense lines, 15° ≤ 2θ ≤ 90°, sorted by position:
2θ (°)  I (rel.)
17.6  23
22.8  46
24.9  100
25.4  20
30.0  34
32.1  43
35.6  25
37.7  27
54.1  22
57.9  19

Cell: 11.471 11.471 11.471 Å, 91.77 91.77 159.77°
Fractional coordinates of all 36 atoms:
Ta  0.000  0.000  0.000
Ta  0.097  0.223  0.320
Ta  0.128  0.682  0.810
Ta  0.223  0.903  0.126
Ta  0.318  0.128  0.446
Ta  0.682  0.872  0.554
Ta  0.777  0.097  0.874
Ta  0.872  0.318  0.190
Ta  0.903  0.777  0.680
As  0.250  0.750  0.500
As  0.750  0.250  0.500
O  0.017  0.719  0.736
O  0.049  0.117  0.166
O  0.096  0.560  0.656
O  0.117  0.951  0.068
O  0.163  0.348  0.511
O  0.181  0.789  0.969
O  0.211  0.181  0.392
O  0.253  0.611  0.864
O  0.281  0.017  0.298
O  0.348  0.837  0.185
O  0.389  0.253  0.642
O  0.440  0.096  0.536
O  0.500  0.500  0.000
O  0.560  0.904  0.464
O  0.611  0.747  0.358
O  0.652  0.163  0.815
O  0.719  0.983  0.702
O  0.747  0.389  0.136
O  0.789  0.819  0.608
O  0.819  0.211  0.031
O  0.837  0.652  0.489
O  0.883  0.049  0.932
O  0.904  0.440  0.344
O  0.951  0.883  0.834
O  0.983  0.281  0.264

The following is a simulated powder X-ray diffraction pattern of TaAsO5. It was derived from a structure optimized by DFT (GGA-PBE), using Cu Ka.

Most intense lines, 15° ≤ 2θ ≤ 90°, sorted by position:
2θ (°)  I (rel.)
19.7  78
20.4  98
21.8  100
25.4  71
26.0  41
30.6  30
31.2  69
32.1  38
34.4  62
51.9  34

Cell: 11.822 5.575 6.954 Å, 90.00 90.00 90.00°
Fractional coordinates of all 28 atoms:
Ta  0.060  0.250  0.160
Ta  0.440  0.750  0.660
Ta  0.560  0.250  0.340
Ta  0.940  0.750  0.840
As  0.154  0.750  0.471
As  0.346  0.250  0.971
As  0.654  0.750  0.029
As  0.846  0.250  0.529
O  0.000  0.000  0.000
O  0.000  0.500  0.000
O  0.083  0.750  0.685
O  0.125  0.003  0.345
O  0.125  0.497  0.345
O  0.205  0.250  0.017
O  0.295  0.750  0.517
O  0.375  0.503  0.845
O  0.375  0.997  0.845
O  0.417  0.250  0.185
O  0.500  0.000  0.500
O  0.500  0.500  0.500
O  0.583  0.750  0.815
O  0.625  0.003  0.155
O  0.625  0.497  0.155
O  0.705  0.250  0.483
O  0.795  0.750  0.983
O  0.875  0.503  0.655
O  0.875  0.997  0.655
O  0.917  0.250  0.315

The following is a simulated powder X-ray diffraction pattern of TaAsO5. It was derived from a structure optimized by DFT (GGA-PBE), using Cu Ka.

Most intense lines, 15° ≤ 2θ ≤ 90°, sorted by position:
2θ (°)  I (rel.)
15.6  100
17.6  19
21.2  22
23.0  33
31.5  25
32.5  60
34.1  26
42.8  20
46.8  17
56.7  17

Cell: 6.303 7.741 8.379 Å, 90.00 90.00 90.00°
Fractional coordinates of all 28 atoms:
Ta  0.249  0.247  0.004
Ta  0.251  0.753  0.504
Ta  0.749  0.253  0.996
Ta  0.751  0.747  0.496
As  0.014  0.135  0.664
As  0.486  0.865  0.164
As  0.514  0.365  0.336
As  0.986  0.635  0.836
O  0.005  0.419  0.928
O  0.008  0.636  0.417
O  0.049  0.289  0.533
O  0.212  0.645  0.716
O  0.219  0.112  0.802
O  0.281  0.888  0.302
O  0.288  0.355  0.216
O  0.451  0.711  0.033
O  0.492  0.364  0.917
O  0.495  0.581  0.428
O  0.505  0.081  0.072
O  0.508  0.864  0.583
O  0.549  0.211  0.467
O  0.712  0.855  0.284
O  0.719  0.388  0.198
O  0.781  0.612  0.698
O  0.788  0.145  0.784
O  0.951  0.789  0.967
O  0.992  0.136  0.083
O  0.995  0.919  0.572

The following is a simulated powder X-ray diffraction pattern of TbZn2AsO2. It was derived from a structure optimized by DFT (GGA-PBE), using Cu Ka.

Most intense lines, 15° ≤ 2θ ≤ 90°, sorted by position:
2θ (°)  I (rel.)
21.7  12
24.7  100
33.1  18
35.2  39
38.5  17
50.7  13
51.4  21
57.2  18
57.8  15
75.1  13

Cell: 3.603 3.603 12.270 Å, 90.00 90.00 90.00°
Fractional coordinates of all 6 atoms:
Tb  0.000  0.000  0.000
Zn  0.000  0.000  0.314
Zn  0.000  0.000  0.686
As  0.000  0.000  0.500
O  0.000  0.000  0.170
O  0.000  0.000  0.830

The following is a simulated powder X-ray diffraction pattern of TiAs2O9. It was derived from a structure optimized by DFT (GGA-PBE), using Cu Ka.

Most intense lines, 15° ≤ 2θ ≤ 90°, sorted by position:
2θ (°)  I (rel.)
21.2  54
23.3  9
24.9  100
25.6  53
27.2  9
34.1  17
34.7  22
35.3  12
37.4  13
43.2  14

Cell: 8.912 5.252 16.265 Å, 90.00 110.07 90.00°
Fractional coordinates of all 48 atoms:
Ti  0.236  0.236  0.477
Ti  0.236  0.264  0.977
Ti  0.764  0.736  0.023
Ti  0.764  0.764  0.523
As  0.005  0.235  0.116
As  0.005  0.265  0.616
As  0.454  0.730  0.601
As  0.454  0.770  0.101
As  0.546  0.230  0.899
As  0.546  0.270  0.399
As  0.995  0.735  0.384
As  0.995  0.765  0.884
O  0.056  0.047  0.396
O  0.056  0.453  0.896
O  0.111  0.160  0.048
O  0.111  0.340  0.548
O  0.135  0.193  0.222
O  0.135  0.307  0.722
O  0.159  0.539  0.406
O  0.159  0.961  0.906
O  0.265  0.642  0.746
O  0.265  0.858  0.246
O  0.300  0.569  0.050
O  0.300  0.931  0.550
O  0.372  0.156  0.409
O  0.372  0.344  0.909
O  0.419  0.075  0.061
O  0.419  0.425  0.561
O  0.478  0.714  0.713
O  0.478  0.786  0.213
O  0.522  0.214  0.787
O  0.522  0.286  0.287
O  0.581  0.575  0.439
O  0.581  0.925  0.939
O  0.628  0.656  0.091
O  0.628  0.844  0.591
O  0.700  0.069  0.450
O  0.700  0.431  0.950
O  0.735  0.142  0.754
O  0.735  0.358  0.254
O  0.841  0.039  0.094
O  0.841  0.461  0.594
O  0.865  0.693  0.278
O  0.865  0.807  0.778
O  0.889  0.660  0.452
O  0.889  0.840  0.952
O  0.944  0.547  0.104
O  0.944  0.953  0.604